The following is a calculated powder XRD pattern of Ba2Sr5Li4. It was derived from the GGA-PBE geometry in Alexandria, using CuKα.
Lines closer than 0.1° are merged.

Most intense lines, 2θ from 10° to 90°, most intense first:
2θ (°), I_rel
25.42, 100
20.55, 62
28.13, 58
27.51, 46
30.28, 34
13.96, 24
25.49, 22
45.80, 22
41.77, 20
22.02, 20

Crystal structure
```
data_Ba2Sr5Li4
_cell_length_a 16.0946
_cell_length_b 7.7619
_cell_length_c 11.0091
_cell_angle_alpha 90.00
_cell_angle_beta 132.83
_cell_angle_gamma 90.00
_space_group_name_H-M_alt 'C 1 2/m 1'
_space_group_IT_number 12
loop_
_space_group_symop_operation_xyz
'x,y,z'
'-x,-y,-z'
'-x,y,-z'
'x,-y,z'
'x+1/2,y+1/2,z'
'-x+1/2,-y+1/2,-z'
'-x+1/2,y+1/2,-z'
'x+1/2,-y+1/2,z'
loop_
_atom_site_label
_atom_site_type_symbol
_atom_site_fract_x
_atom_site_fract_y
_atom_site_fract_z
Ba1 Ba 0.2007 0.0000 0.2017
Sr1 Sr 0.9997 0.2516 0.3177
Sr2 Sr 0.0000 0.5000 0.0000
Li1 Li 0.2468 0.5000 0.0910
Li2 Li 0.2477 0.5000 0.3993
```

The following is a calculated powder XRD pattern of BaSr6Li2. It was derived from the GGA-PBE geometry in Alexandria, using CuKα.
Lines closer than 0.1° are merged.

Most intense lines, 2θ from 10° to 90°, most intense first:
2θ (°), I_rel
25.45, 100
30.43, 32
51.14, 28
41.44, 24
27.44, 18
47.32, 15
52.27, 12
43.58, 12
66.27, 11
16.56, 9

Crystal structure
```
data_BaSr6Li2
_cell_length_a 5.8743
_cell_length_b 5.8743
_cell_length_c 13.0012
_cell_angle_alpha 90.00
_cell_angle_beta 90.00
_cell_angle_gamma 90.00
_space_group_name_H-M_alt 'P 4/m m m'
_space_group_IT_number 123
_space_group_name_Hall '-P 4 2'
loop_
_atom_site_label
_atom_site_type_symbol
_atom_site_fract_x
_atom_site_fract_y
_atom_site_fract_z
Ba1 Ba 0.0000 0.0000 0.0000
Sr1 Sr 0.0000 0.0000 0.5000
Sr2 Sr 0.0000 0.5000 0.2633
Sr3 Sr 0.5000 0.5000 0.5000
Li1 Li 0.5000 0.5000 0.1059
```

The following is a calculated powder XRD pattern of Ba5Sr2Li. It was derived from the GGA-PBE geometry in Alexandria, using CuKα.
Lines closer than 0.1° are merged.

Most intense lines, 2θ from 10° to 90°, most intense first:
2θ (°), I_rel
26.19, 100
25.10, 98
27.13, 95
40.23, 53
48.00, 33
22.06, 31
24.54, 29
26.00, 27
65.71, 26
44.29, 25

Crystal structure
```
data_Ba5Sr2Li
_cell_length_a 10.4479
_cell_length_b 19.3374
_cell_length_c 4.4836
_cell_angle_alpha 90.00
_cell_angle_beta 90.00
_cell_angle_gamma 90.00
_space_group_name_H-M_alt 'P b a m'
_space_group_IT_number 55
loop_
_space_group_symop_operation_xyz
'x,y,z'
'-x,-y,-z'
'-x,-y,z'
'x,y,-z'
'x+1/2,-y+1/2,-z'
'-x+1/2,y+1/2,z'
'-x+1/2,y+1/2,-z'
'x+1/2,-y+1/2,z'
loop_
_atom_site_label
_atom_site_type_symbol
_atom_site_fract_x
_atom_site_fract_y
_atom_site_fract_z
Ba1 Ba 0.0000 0.0000 0.0000
Ba2 Ba 0.0025 0.2305 0.0000
Ba3 Ba 0.2085 0.3867 0.5000
Sr1 Sr 0.2049 0.6131 0.5000
Li1 Li 0.0000 0.5000 0.0000
```

The following is a calculated powder XRD pattern of Ba3Sr3Li. It was derived from the GGA-PBE geometry in Alexandria, using CuKα.
Lines closer than 0.1° are merged.

Most intense lines, 2θ from 10° to 90°, most intense first:
2θ (°), I_rel
25.43, 100
24.46, 57
26.46, 52
21.49, 41
29.40, 31
30.13, 26
43.64, 20
42.96, 17
42.28, 17
48.22, 14

Crystal structure
```
data_Ba3Sr3Li
_cell_length_a 9.2217
_cell_length_b 11.9854
_cell_length_c 14.2020
_cell_angle_alpha 90.00
_cell_angle_beta 97.04
_cell_angle_gamma 90.00
_space_group_name_H-M_alt 'C 1 2/m 1'
_space_group_IT_number 12
loop_
_space_group_symop_operation_xyz
'x,y,z'
'-x,-y,-z'
'-x,y,-z'
'x,-y,z'
'x+1/2,y+1/2,z'
'-x+1/2,-y+1/2,-z'
'-x+1/2,y+1/2,-z'
'x+1/2,-y+1/2,z'
loop_
_atom_site_label
_atom_site_type_symbol
_atom_site_fract_x
_atom_site_fract_y
_atom_site_fract_z
Ba1 Ba 0.0000 0.1736 0.0000
Ba2 Ba 0.0000 0.2999 0.5000
Ba3 Ba 0.1134 0.5000 0.8904
Sr1 Sr 0.1310 0.0000 0.3170
Sr2 Sr 0.2485 0.1797 0.7650
Li1 Li 0.1769 0.0000 0.5596
```

The following is a calculated powder XRD pattern of Ba12Sr7Li. It was derived from the GGA-PBE geometry in Alexandria, using CuKα.
Lines closer than 0.1° are merged.

Most intense lines, 2θ from 10° to 90°, most intense first:
2θ (°), I_rel
24.51, 100
28.32, 69
24.31, 34
47.89, 31
40.60, 26
40.35, 25
47.99, 15
47.67, 15
50.24, 14
64.63, 12

Crystal structure
```
data_Ba12Sr7Li
_cell_length_a 19.3724
_cell_length_b 19.3724
_cell_length_c 10.9832
_cell_angle_alpha 90.00
_cell_angle_beta 90.00
_cell_angle_gamma 120.00
_space_group_name_H-M_alt 'R -3'
_space_group_IT_number 148
_space_group_name_Hall '-R 3'
loop_
_atom_site_label
_atom_site_type_symbol
_atom_site_fract_x
_atom_site_fract_y
_atom_site_fract_z
Ba1 Ba 0.0331 0.2724 0.3449
Ba2 Ba 0.0706 0.5643 0.6643
Sr1 Sr 0.0000 0.0000 0.0000
Sr2 Sr 0.0158 0.1425 0.6802
Li1 Li 0.0000 0.0000 0.5000
```

The following is a calculated powder XRD pattern of Ba2LiTbTe4. It was derived from the GGA-PBE geometry in Alexandria, using CuKα.
Lines closer than 0.1° are merged.

Most intense lines, 2θ from 10° to 90°, most intense first:
2θ (°), I_rel
26.81, 100
38.41, 92
27.02, 48
62.55, 24
47.54, 20
47.42, 17
38.21, 17
62.87, 14
69.40, 13
22.24, 12

Crystal structure
```
data_Ba2LiTbTe4
_cell_length_a 8.1093
_cell_length_b 4.6941
_cell_length_c 8.1100
_cell_angle_alpha 90.00
_cell_angle_beta 108.97
_cell_angle_gamma 90.00
_space_group_name_H-M_alt 'P 1 2/m 1'
_space_group_IT_number 10
loop_
_space_group_symop_operation_xyz
'x,y,z'
'-x,-y,-z'
'-x,y,-z'
'x,-y,z'
loop_
_atom_site_label
_atom_site_type_symbol
_atom_site_fract_x
_atom_site_fract_y
_atom_site_fract_z
Ba1 Ba 0.0000 0.0000 0.0000
Ba2 Ba 0.0000 0.5000 0.5000
Li1 Li 0.5000 0.0000 0.5000
Tb1 Tb 0.5000 0.5000 0.0000
Te1 Te 0.2854 0.5000 0.2560
Te2 Te 0.2861 0.0000 0.7634
```

The following is a calculated powder XRD pattern of BaLi2ZrTc. It was derived from the GGA-PBE geometry in Alexandria, using CuKα.
Lines closer than 0.1° are merged.

Most intense lines, 2θ from 10° to 90°, most intense first:
2θ (°), I_rel
25.75, 100
43.09, 49
18.13, 45
36.73, 44
50.87, 34
33.94, 27
30.89, 23
70.54, 22
59.76, 18
16.78, 18

Crystal structure
```
data_BaLi2ZrTc
_cell_length_a 4.8933
_cell_length_b 4.8933
_cell_length_c 5.2821
_cell_angle_alpha 90.00
_cell_angle_beta 90.00
_cell_angle_gamma 90.00
_space_group_name_H-M_alt 'P 4/m m m'
_space_group_IT_number 123
_space_group_name_Hall '-P 4 2'
loop_
_atom_site_label
_atom_site_type_symbol
_atom_site_fract_x
_atom_site_fract_y
_atom_site_fract_z
Ba1 Ba 0.0000 0.0000 0.0000
Li1 Li 0.0000 0.5000 0.5000
Zr1 Zr 0.5000 0.5000 0.0000
Tc1 Tc 0.0000 0.0000 0.5000
```

The following is a calculated powder XRD pattern of Ba2LiUTe5. It was derived from the GGA-PBE geometry in Alexandria, using CuKα.
Lines closer than 0.1° are merged.

Most intense lines, 2θ from 10° to 90°, most intense first:
2θ (°), I_rel
27.30, 100
27.56, 38
32.14, 36
45.29, 25
38.61, 24
15.38, 23
39.18, 21
48.10, 17
38.28, 14
29.46, 13

Crystal structure
```
data_Ba2LiUTe5
_cell_length_a 4.6635
_cell_length_b 19.9484
_cell_length_c 14.1112
_cell_angle_alpha 90.00
_cell_angle_beta 90.00
_cell_angle_gamma 90.00
_space_group_name_H-M_alt 'C m c 21'
_space_group_IT_number 36
loop_
_space_group_symop_operation_xyz
'x,y,z'
'-x,-y,z+1/2'
'-x,y,z'
'x,-y,z+1/2'
'x+1/2,y+1/2,z'
'-x+1/2,-y+1/2,z+1/2'
'-x+1/2,y+1/2,z'
'x+1/2,-y+1/2,z+1/2'
loop_
_atom_site_label
_atom_site_type_symbol
_atom_site_fract_x
_atom_site_fract_y
_atom_site_fract_z
Ba1 Ba 0.0000 0.1067 0.0000
Ba2 Ba 0.0000 0.1217 0.6229
Li1 Li 0.0000 0.4371 0.7543
U1 U 0.0000 0.2058 0.3267
Te1 Te 0.0000 0.0631 0.3605
Te2 Te 0.0000 0.2869 0.9669
Te3 Te 0.0000 0.3024 0.6847
Te4 Te 0.0000 0.3542 0.3149
Te5 Te 0.0000 0.4986 0.0849
```

The following is a calculated powder XRD pattern of Ba4LiY3Te8. It was derived from the GGA-PBE geometry in Alexandria, using CuKα.
Lines closer than 0.1° are merged.

Most intense lines, 2θ from 10° to 90°, most intense first:
2θ (°), I_rel
27.06, 100
38.98, 39
38.29, 34
48.09, 20
63.55, 17
62.60, 12
70.14, 11
55.79, 11
29.45, 10
70.61, 9

Crystal structure
```
data_Ba4LiY3Te8
_cell_length_a 9.2436
_cell_length_b 9.2436
_cell_length_c 23.2314
_cell_angle_alpha 90.00
_cell_angle_beta 90.00
_cell_angle_gamma 120.00
_space_group_name_H-M_alt 'R -3 m'
_space_group_IT_number 166
_space_group_name_Hall '-R 3 2"'
loop_
_atom_site_label
_atom_site_type_symbol
_atom_site_fract_x
_atom_site_fract_y
_atom_site_fract_z
Ba1 Ba 0.0000 0.0000 0.0000
Ba2 Ba 0.0000 0.5000 0.0000
Li1 Li 0.0000 0.0000 0.5000
Y1 Y 0.0000 0.5000 0.5000
Te1 Te 0.0000 0.0000 0.2388
Te2 Te 0.0005 0.5003 0.7623
```

The following is a calculated powder XRD pattern of BaLi6Tl6. It was derived from the GGA-PBE geometry in Alexandria, using CuKα.
Lines closer than 0.1° are merged.

Most intense lines, 2θ from 10° to 90°, most intense first:
2θ (°), I_rel
30.21, 100
35.11, 47
17.46, 46
24.67, 32
35.20, 29
39.35, 24
63.28, 24
39.60, 21
53.67, 17
56.94, 15

Crystal structure
```
data_BaLi6Tl6
_cell_length_a 5.9101
_cell_length_b 10.1605
_cell_length_c 10.2583
_cell_angle_alpha 90.00
_cell_angle_beta 90.00
_cell_angle_gamma 90.00
_space_group_name_H-M_alt 'I m m m'
_space_group_IT_number 71
_space_group_name_Hall '-I 2 2'
loop_
_atom_site_label
_atom_site_type_symbol
_atom_site_fract_x
_atom_site_fract_y
_atom_site_fract_z
Ba1 Ba 0.0000 0.0000 0.0000
Li1 Li 0.0000 0.2605 0.5000
Li2 Li 0.2500 0.2500 0.2500
Tl1 Tl 0.0000 0.0000 0.3492
Tl2 Tl 0.0000 0.3474 0.0000
Tl3 Tl 0.0000 0.5000 0.2987
```

The following is a calculated powder XRD pattern of Ba2Li7Tl. It was derived from the GGA-PBE geometry in Alexandria, using CuKα.
Lines closer than 0.1° are merged.

Most intense lines, 2θ from 10° to 90°, most intense first:
2θ (°), I_rel
18.86, 100
29.22, 78
29.91, 38
39.52, 31
34.40, 28
17.01, 23
46.22, 23
23.58, 22
58.47, 22
48.24, 18

Crystal structure
```
data_Ba2Li7Tl
_cell_length_a 5.2134
_cell_length_b 5.2134
_cell_length_c 10.9329
_cell_angle_alpha 90.00
_cell_angle_beta 90.00
_cell_angle_gamma 90.00
_space_group_name_H-M_alt 'P -4 m 2'
_space_group_IT_number 115
loop_
_space_group_symop_operation_xyz
'x,y,z'
'y,-x,-z'
'-x,-y,z'
'-y,x,-z'
'-x,y,z'
'-y,-x,-z'
'x,-y,z'
'y,x,-z'
loop_
_atom_site_label
_atom_site_type_symbol
_atom_site_fract_x
_atom_site_fract_y
_atom_site_fract_z
Ba1 Ba 0.0000 0.5000 0.2429
Li1 Li 0.0000 0.0000 0.0000
Li2 Li 0.0000 0.0000 0.5000
Li3 Li 0.0000 0.5000 0.6218
Li4 Li 0.0000 0.5000 0.8932
Li5 Li 0.5000 0.5000 0.5000
Tl1 Tl 0.5000 0.5000 0.0000
```

The following is a calculated powder XRD pattern of BaLi9Tl3. It was derived from the GGA-PBE geometry in Alexandria, using CuKα.
Lines closer than 0.1° are merged.

Most intense lines, 2θ from 10° to 90°, most intense first:
2θ (°), I_rel
34.38, 100
17.71, 98
16.97, 55
24.95, 51
12.40, 50
25.34, 50
35.86, 46
50.73, 32
24.72, 23
24.59, 23

Crystal structure
```
data_BaLi9Tl3
_cell_length_a 6.1115
_cell_length_b 14.0619
_cell_length_c 7.7514
_cell_angle_alpha 90.00
_cell_angle_beta 112.96
_cell_angle_gamma 90.00
_space_group_name_H-M_alt 'C 1 2/m 1'
_space_group_IT_number 12
loop_
_space_group_symop_operation_xyz
'x,y,z'
'-x,-y,-z'
'-x,y,-z'
'x,-y,z'
'x+1/2,y+1/2,z'
'-x+1/2,-y+1/2,-z'
'-x+1/2,y+1/2,-z'
'x+1/2,-y+1/2,z'
loop_
_atom_site_label
_atom_site_type_symbol
_atom_site_fract_x
_atom_site_fract_y
_atom_site_fract_z
Ba1 Ba 0.0000 0.0000 0.0000
Li1 Li 0.0000 0.5000 0.5000
Li2 Li 0.1256 0.3832 0.2313
Li3 Li 0.1492 0.1782 0.3479
Tl1 Tl 0.0000 0.0000 0.5000
Tl2 Tl 0.2500 0.2500 0.0000
```

The following is a calculated powder XRD pattern of Ba2Li2Tl. It was derived from the GGA-PBE geometry in Alexandria, using CuKα.
Lines closer than 0.1° are merged.

Most intense lines, 2θ from 10° to 90°, most intense first:
2θ (°), I_rel
27.97, 100
27.54, 45
19.29, 43
27.76, 39
31.37, 34
17.13, 33
23.25, 31
31.23, 26
45.61, 21
30.64, 18

Crystal structure
```
data_Ba2Li2Tl
_cell_length_a 11.2238
_cell_length_b 6.8028
_cell_length_c 9.4394
_cell_angle_alpha 90.00
_cell_angle_beta 102.90
_cell_angle_gamma 90.00
_space_group_name_H-M_alt 'C 1 2/c 1'
_space_group_IT_number 15
loop_
_space_group_symop_operation_xyz
'x,y,z'
'-x,-y,-z'
'-x,y,-z+1/2'
'x,-y,z+1/2'
'x+1/2,y+1/2,z'
'-x+1/2,-y+1/2,-z'
'-x+1/2,y+1/2,-z+1/2'
'x+1/2,-y+1/2,z+1/2'
loop_
_atom_site_label
_atom_site_type_symbol
_atom_site_fract_x
_atom_site_fract_y
_atom_site_fract_z
Ba1 Ba 0.1546 0.1146 0.1564
Li1 Li 0.1097 0.3915 0.4943
Tl1 Tl 0.0000 0.3464 0.7500
```